# Al8Fe3
Computed PXRD pattern, CuKα. Input: DFT lattice parameters and positions (PBE).
Neutral-atom scattering factors, no anomalous dispersion.

The 10 most intense peaks (10° ≤ 2θ ≤ 90°), most intense first:
Position (°2θ)	I_rel
44.04	100
43.14	60
42.88	58
44.18	54
44.44	49
18.13	33
23.36	29
28.43	25
28.24	25
47.76	16

Crystal structure
```
22
Lattice="5.6356 -3.1930 0.0000 5.6356 3.1930 0.0000 -2.1711 0.0000 8.3435" Properties=species:S:1:pos:R:3 pbc="T T T"
Al 3.0823 2.7178 7.1926
Al 4.9322 2.7178 5.3226
Al 3.9259 1.3734 0.8843
Al 1.5558 0.7267 5.9895
Al 3.5497 0.8081 3.7710
Al 2.6414 -0.7267 1.8177
Al 6.2597 1.3734 3.2875
Al 6.6360 0.8081 0.4007
Al 2.4641 -0.8081 7.9427
Al 2.8403 -1.3734 5.0560
Al 6.4587 0.7267 6.5257
Al 5.5504 -0.8081 4.5725
Al 7.5443 -0.7267 2.3540
Al 5.1742 -1.3734 7.4592
Al 4.1678 -2.7178 3.0208
Al 6.0178 -2.7178 1.1509
Fe 1.0295 0.4750 3.5382
Fe -0.0560 -0.4750 7.7099
Fe 4.0072 0.4975 6.2576
Fe 5.0928 -0.4975 2.0859
Fe 9.1561 0.4750 0.6335
Fe 8.0705 -0.4750 4.8052
```

***

# NdAlPdPt3
Computed PXRD pattern, CuKα. Input: DFT lattice parameters and positions (PBE).
Neutral-atom scattering factors, no anomalous dispersion.

The 10 most intense peaks (10° ≤ 2θ ≤ 90°), most intense first:
Position (°2θ)	I_rel
37.54	100
38.97	93
43.47	78
28.24	77
58.40	56
43.03	39
83.70	35
67.74	30
21.13	28
62.17	24

Crystal structure
```
6
Lattice="5.5332 0.0000 0.0000 -2.7666 4.7919 0.0000 0.0000 0.0000 4.2040" Properties=species:S:1:pos:R:3 pbc="T T T"
Nd 0.0000 0.0000 0.0000
Al 0.0000 3.1946 0.0000
Pd 2.7666 1.5973 0.0000
Pt -1.3688 2.4043 2.1020
Pt 1.3688 2.4043 2.1020
Pt 0.0000 4.7751 2.1020
```

***

# ZnNi3H
Computed PXRD pattern, CuKα. Input: DFT lattice parameters and positions (PBE).
Neutral-atom scattering factors, no anomalous dispersion.

The 6 most intense peaks (10° ≤ 2θ ≤ 90°), most intense first:
Position (°2θ)	I_rel
43.29	100
50.54	31
73.98	18
50.17	16
89.49	11
74.27	9

Crystal structure
```
5
Lattice="3.6119 0.0000 0.0000 0.0000 3.6119 0.0000 0.0000 0.0000 3.6365" Properties=species:S:1:pos:R:3 pbc="T T T"
Zn 0.0000 0.0000 0.0000
Ni 0.0000 1.8060 1.8183
Ni 1.8060 0.0000 1.8183
Ni 1.8060 1.8060 0.0000
H 1.8060 1.8060 1.8183
```

***

# HoHfSi2
Computed PXRD pattern, CuKα. Input: DFT lattice parameters and positions (PBE).
Neutral-atom scattering factors, no anomalous dispersion.

The 10 most intense peaks (10° ≤ 2θ ≤ 90°), most intense first:
Position (°2θ)	I_rel
31.32	100
35.22	82
33.85	74
28.88	48
37.81	46
39.91	40
42.86	36
55.82	36
61.23	34
29.07	33

Crystal structure
```
8
Lattice="3.7636 0.0000 0.0000 0.0000 7.4542 0.0000 0.0000 0.0000 5.4225" Properties=species:S:1:pos:R:3 pbc="T T T"
Ho 0.0000 0.5485 0.0000
Ho 1.8818 6.9057 2.7112
Hf 0.0000 4.2191 1.4012
Hf 1.8818 3.2351 4.1124
Si 0.0000 1.6769 2.7895
Si 0.0000 5.1917 4.0144
Si 1.8818 2.2625 1.3032
Si 1.8818 5.7773 0.0783
```

***

# PrGd3B2Br2
Computed PXRD pattern, CuKα. Input: DFT lattice parameters and positions (PBE).
Neutral-atom scattering factors, no anomalous dispersion.

The 10 most intense peaks (10° ≤ 2θ ≤ 90°), most intense first:
Position (°2θ)	I_rel
32.11	100
26.14	27
46.11	26
57.30	19
60.64	18
76.50	16
37.16	13
45.99	12
63.83	10
26.86	9

Crystal structure
```
8
Lattice="3.9369 0.0000 0.0000 -1.9685 3.4095 0.0000 0.0000 0.0000 14.5181" Properties=species:S:1:pos:R:3 pbc="T T T"
Pr 0.0000 0.0000 0.0000
Gd 0.0000 0.0000 4.5694
Gd 1.9685 1.1365 7.2617
Gd 1.9685 1.1365 11.6981
B 0.0000 2.2730 5.9239
B 0.0000 2.2730 13.0445
Br 0.0000 0.0000 9.4901
Br 1.9685 1.1365 2.3815
```

***

# TlAgSeS
Computed PXRD pattern, CuKα. Input: DFT lattice parameters and positions (PBE).
Neutral-atom scattering factors, no anomalous dispersion.

The 10 most intense peaks (10° ≤ 2θ ≤ 90°), most intense first:
Position (°2θ)	I_rel
25.33	100
41.83	42
49.85	31
42.19	20
49.21	16
76.89	13
66.79	13
29.49	12
76.13	7
82.73	7

Crystal structure
```
16
Lattice="6.0562 0.0000 0.0000 0.0000 6.1603 0.0000 0.0000 0.0000 12.1184" Properties=species:S:1:pos:R:3 pbc="T T T"
Tl 0.0000 1.5401 1.5059
Tl 0.0000 4.6202 4.5533
Tl 3.0281 1.5401 10.6125
Tl 3.0281 4.6202 7.5651
Ag 0.0000 1.5401 7.3981
Ag 0.0000 4.6202 10.7794
Ag 3.0281 1.5401 4.7202
Ag 3.0281 4.6202 1.3389
Se 1.3965 3.0801 9.0888
Se 1.6316 3.0801 3.0296
Se 4.4246 0.0000 3.0296
Se 4.6597 0.0000 9.0888
S 1.5140 0.0086 0.0000
S 1.5140 6.1517 6.0592
S 4.5421 3.0716 0.0000
S 4.5421 3.0887 6.0592
```

***

# NdAl5NiPd
Computed PXRD pattern, CuKα. Input: DFT lattice parameters and positions (PBE).
Neutral-atom scattering factors, no anomalous dispersion.

The 10 most intense peaks (10° ≤ 2θ ≤ 90°), most intense first:
Position (°2θ)	I_rel
31.34	100
44.90	63
34.62	54
24.71	43
47.86	42
35.46	29
15.29	28
30.15	27
65.39	25
23.87	21

Crystal structure
```
16
Lattice="4.0341 0.0000 0.0000 0.0000 7.2058 0.0000 0.0000 0.0000 9.7556" Properties=species:S:1:pos:R:3 pbc="T T T"
Nd 0.0000 0.0000 0.0000
Nd 2.0170 3.6029 4.8778
Al 0.0000 1.3209 6.4478
Al 0.0000 1.4246 3.4520
Al 0.0000 3.6029 0.1157
Al 0.0000 5.7812 3.4520
Al 0.0000 5.8849 6.4478
Al 2.0170 0.0000 4.9935
Al 2.0170 2.1783 8.3298
Al 2.0170 2.2820 1.5701
Al 2.0170 4.9238 1.5701
Al 2.0170 5.0275 8.3298
Ni 0.0000 3.6029 2.4209
Ni 2.0170 0.0000 7.2987
Pd 0.0000 3.6029 7.4609
Pd 2.0170 0.0000 2.5832
```

***

# SrHoCu2Sb2
Computed PXRD pattern, CuKα. Input: DFT lattice parameters and positions (PBE).
Neutral-atom scattering factors, no anomalous dispersion.

The 10 most intense peaks (10° ≤ 2θ ≤ 90°), most intense first:
Position (°2θ)	I_rel
31.54	100
40.54	55
52.25	24
10.55	23
60.71	21
68.15	21
39.85	14
25.44	10
43.17	10
73.75	9

Crystal structure
```
6
Lattice="4.4506 0.0000 0.0000 -2.2253 3.8543 0.0000 0.0000 0.0000 8.3822" Properties=species:S:1:pos:R:3 pbc="T T T"
Sr 0.0000 0.0000 0.0000
Ho 0.0000 0.0000 4.1912
Cu 0.0000 2.5695 2.5586
Cu 2.2253 1.2848 5.8394
Sb 0.0000 2.5695 6.1683
Sb 2.2253 1.2848 2.2108
```

***

# TbCo2SiP
Computed PXRD pattern, CuKα. Input: DFT lattice parameters and positions (PBE).
Neutral-atom scattering factors, no anomalous dispersion.

The 10 most intense peaks (10° ≤ 2θ ≤ 90°), most intense first:
Position (°2θ)	I_rel
38.05	100
36.57	57
24.95	49
47.26	39
61.20	25
81.68	20
53.42	18
68.09	17
37.55	16
61.87	15

Crystal structure
```
10
Lattice="3.8464 0.0000 0.0000 0.0000 3.8464 0.0000 0.0000 0.0000 9.5814" Properties=species:S:1:pos:R:3 pbc="T T T"
Tb 0.0000 0.0000 0.0000
Tb 1.9232 1.9232 4.7907
Co 0.0000 1.9232 2.3507
Co 0.0000 1.9232 7.1414
Co 1.9232 0.0000 2.3507
Co 1.9232 0.0000 7.1414
Si 0.0000 0.0000 3.5603
Si 1.9232 1.9232 8.3509
P 0.0000 0.0000 5.9770
P 1.9232 1.9232 1.1864
```

***

# KNbP2O8
Computed PXRD pattern, CuKα. Input: DFT lattice parameters and positions (PBE).
Neutral-atom scattering factors, no anomalous dispersion.

The 10 most intense peaks (10° ≤ 2θ ≤ 90°), most intense first:
Position (°2θ)	I_rel
23.09	100
24.37	60
17.14	47
47.22	40
16.98	31
10.77	29
35.10	27
27.94	27
29.82	27
27.77	19

Crystal structure
```
48
Lattice="5.1138 0.0000 0.0000 0.0000 11.7093 0.0000 -5.0170 0.0000 11.5337" Properties=species:S:1:pos:R:3 pbc="T T T"
K -1.3682 1.5779 5.1277
K -3.8767 4.2767 10.8946
K 3.9735 7.4326 0.6391
K 1.4650 10.1313 6.4060
Nb 1.2423 1.4320 1.9983
Nb -1.2662 4.4227 7.7651
Nb 1.3630 7.2866 3.7686
Nb -1.1455 10.2773 9.5354
P -3.7408 0.7437 9.9439
P -1.2322 5.1109 4.1770
P -3.7000 8.0774 9.8554
P -1.1915 9.4865 4.0886
P 1.2883 2.2228 7.4451
P 3.7968 3.6319 1.6783
P 1.3290 6.5984 7.3567
P 3.8375 10.9655 1.5898
O -0.3373 2.4935 1.3020
O -2.8458 3.3612 7.0688
O -3.5699 2.0656 9.0481
O -1.0614 3.7891 3.2812
O -3.9273 6.8134 10.5936
O -1.4188 10.7505 4.8268
O -2.3289 6.1450 7.5415
O 0.1796 11.4189 1.7747
O -0.3059 6.1731 3.5560
O -2.8144 11.3908 9.3229
O -3.3867 1.1853 11.3253
O -0.8782 4.6693 5.5585
O -2.2595 8.6115 9.9428
O 0.2490 8.9524 4.1759
O 1.5868 7.5772 2.0502
O -0.9217 9.9866 7.8171
O 1.0185 1.7226 3.7166
O -1.4900 4.1320 9.4835
O -0.1522 2.7569 7.3578
O 2.3563 3.0977 1.5909
O 0.9750 7.0400 5.9752
O 3.4835 10.5239 0.2084
O 2.9112 0.3185 2.2108
O 0.4027 5.5361 7.9777
O -0.0828 0.2904 9.7590
O 2.4257 5.5643 3.9922
O 1.5156 0.9588 6.7070
O 4.0241 4.8959 0.9401
O 1.1582 7.9202 8.2525
O 3.6667 9.6437 2.4856
O 2.9426 8.3481 4.4649
O 0.4340 9.2158 10.2317
```

***

# NdSm5Se6
Computed PXRD pattern, CuKα. Input: DFT lattice parameters and positions (PBE).
Neutral-atom scattering factors, no anomalous dispersion.

The 10 most intense peaks (10° ≤ 2θ ≤ 90°), most intense first:
Position (°2θ)	I_rel
30.27	100
43.28	37
43.39	37
71.43	22
53.67	13
53.86	13
26.11	13
79.38	13
62.95	12
79.59	6

Crystal structure
```
12
Lattice="3.6158 -6.2795 0.0000 3.6158 6.2795 0.0000 -2.4230 0.0000 6.8039" Properties=species:S:1:pos:R:3 pbc="T T T"
Nd 0.0000 0.0000 0.0000
Sm 2.4043 4.2146 3.4019
Sm 3.6158 2.0899 0.0000
Sm 2.4043 0.0000 3.4019
Sm 3.6158 -2.0899 0.0000
Sm 2.4043 -4.2146 3.4019
Se 1.2141 2.1149 1.7169
Se 0.0144 0.0000 5.1004
Se 1.2141 -2.1149 1.7169
Se 3.5945 2.1149 5.0870
Se 4.7942 0.0000 1.7035
Se 3.5945 -2.1149 5.0870
```

***

# RbAgIrSeS2
Computed PXRD pattern, CuKα. Input: DFT lattice parameters and positions (PBE).
Neutral-atom scattering factors, no anomalous dispersion.

The 10 most intense peaks (10° ≤ 2θ ≤ 90°), most intense first:
Position (°2θ)	I_rel
11.25	100
30.86	42
35.87	27
38.78	20
21.03	19
34.63	17
40.22	17
30.54	16
29.51	15
22.62	14

Crystal structure
```
12
Lattice="1.8535 -7.8623 0.0000 1.8535 7.8623 0.0000 0.0000 0.0000 10.0148" Properties=species:S:1:pos:R:3 pbc="T T T"
Rb 1.8535 3.9856 7.5111
Rb 1.8535 -3.9856 2.5037
Ag 1.8535 6.8090 2.5037
Ag 1.8535 -6.8090 7.5111
Ir 1.8535 0.0000 0.0000
Ir 1.8535 0.0000 5.0074
Se 1.8535 0.9212 2.5037
Se 1.8535 -0.9212 7.5111
S 1.8535 6.2989 0.1506
S 1.8535 6.2989 4.8568
S 1.8535 -6.2989 5.1580
S 1.8535 -6.2989 9.8642
```